The following is a theoretical powder X-ray diffraction pattern of Ba5Mg4. It was derived from a crystal structure in Alexandria, relaxed with PBE, using Cu Kα.
Intensities are scaled so that the largest is 100.

a b c (Å): 11.1259 11.1259 7.6446
angles (deg): 90.00 90.00 120.00
Space group P6_3/mcm (No. 193)
Inequivalent atoms, fractional coordinates:
Ba1 0.0000 0.2886 0.2500 [6 per cell]
Ba2 0.3333 0.6667 0.0000 [4 per cell]
Mg1 0.0000 0.0000 0.0000 [2 per cell]
Mg2 0.0000 0.3791 0.7500 [6 per cell]

Most intense lines, 10 to 80 degrees two-theta, most intense first:
| Position (°2θ) | Rel. int. | h k l |
| --- | --- | --- |
| 28.33 | 100 | 1 1 2 |
| 27.78 | 89 | 3 0 0 |
| 19.74 | 61 | 1 1 1 |
| 40.09 | 34 | 2 2 2 |
| 27.12 | 32 | 2 1 1 |
| 49.47 | 28 | 4 1 2 |

---

The following is a theoretical powder X-ray diffraction pattern of Pm2Pr5NdHo. It was derived from a crystal structure in Alexandria, relaxed with PBE, using Cu Kα.
Intensities are scaled so that the largest is 100.

a b c (Å): 8.9657 8.9657 15.9581
angles (deg): 90.00 90.00 90.00
Space group I4/mcm (No. 140)
Inequivalent atoms, fractional coordinates:
Pm1 0.1164 0.3836 0.0000 [8 per cell]
Pr1 0.0000 0.0000 0.0000 [4 per cell]
Pr2 0.2096 0.2904 0.3609 [16 per cell]
Nd1 0.0000 0.0000 0.2500 [4 per cell]
Ho1 0.0000 0.5000 0.2500 [4 per cell]

Most intense lines, 10 to 80 degrees two-theta, most intense first:
| Position (°2θ) | Rel. int. | h k l |
| --- | --- | --- |
| 29.98 | 100 | 2 0 4 |
| 28.15 | 52 | 2 2 0 |
| 27.86 | 49 | 2 1 3 |
| 50.98 | 22 | 4 2 4 |
| 41.90 | 22 | 4 0 2 |
| 36.57 | 18 | 3 2 1 |

---

The following is a theoretical powder X-ray diffraction pattern of Sc4Al12Rh. It was derived from a crystal structure in Alexandria, relaxed with PBE, using Cu Kα.
Intensities are scaled so that the largest is 100.

a b c (Å): 8.3983 8.3983 8.3983
angles (deg): 90.00 90.00 90.00
Space group Im-3m (No. 229)
Inequivalent atoms, fractional coordinates:
Sc1 0.2500 0.2500 0.2500 [8 per cell]
Al1 0.0000 0.0000 0.2869 [12 per cell]
Al2 0.0000 0.2500 0.5000 [12 per cell]
Rh1 0.0000 0.0000 0.0000 [2 per cell]

Most intense lines, 10 to 80 degrees two-theta, most intense first:
| Position (°2θ) | Rel. int. | h k l |
| --- | --- | --- |
| 43.08 | 100 | 4 0 0 |
| 37.08 | 87 | 2 2 2 |
| 62.57 | 58 | 4 4 0 |
| 30.10 | 57 | 2 2 0 |
| 14.92 | 55 | 1 1 0 |
| 40.18 | 52 | 3 2 1 |

---

The following is a theoretical powder X-ray diffraction pattern of Ho4NiTe2. It was derived from a crystal structure in Alexandria, relaxed with PBE, using Cu Kα.
Intensities are scaled so that the largest is 100.

a b c (Å): 15.6478 4.0678 6.9774
angles (deg): 90.00 115.98 90.00
Space group C2/m (No. 12)
Inequivalent atoms, fractional coordinates:
Ho1 0.1023 0.0000 0.4458 [4 per cell]
Ho2 0.1028 0.5000 0.9289 [4 per cell]
Ni1 0.0000 0.5000 0.5000 [2 per cell]
Te1 0.2432 0.0000 0.2422 [4 per cell]

Most intense lines, 10 to 80 degrees two-theta, most intense first:
| Position (°2θ) | Rel. int. | h k l |
| --- | --- | --- |
| 28.34 | 100 | 1 1 1 |
| 36.22 | 63 | 5 1 -1 |
| 28.66 | 49 | 4 0 -2 |
| 44.89 | 40 | 3 1 -3 |
| 36.10 | 38 | 2 0 2 |
| 58.62 | 25 | 2 2 2 |